# DyHo3Si4
Theoretical X-ray powder pattern, Cu Kα (weighted mean of Kα1 and Kα2). Input: a GGA-PBE-relaxed structure.

The 6 most intense peaks (15° ≤ 2θ ≤ 90°), by intensity:
| Position (°2θ) | d [Å] | intensity | index |
| --- | --- | --- | --- |
| 29.14 | 3.064 | 100 | 1 1 2 |
| 28.61 | 3.120 | 25 | 0 2 0 |
| 51.01 | 1.790 | 20 | 1 3 2 |
| 54.76 | 1.676 | 18 | 1 1 8 |
| 22.33 | 3.981 | 18 | 0 1 3 |
| 35.50 | 2.529 | 17 | 1 1 4 |

Structure:
Cell: 3.9473 6.2401 15.5114 Å, 90.00 90.00 90.00°
Fractional coordinates of all 16 atoms:
1 Dy 0.0000 0.0000 0.0000
2 Dy 0.5000 0.5000 0.5000
3 Ho 0.0000 0.0000 0.5000
4 Ho 0.0000 0.5000 0.3057
5 Ho 0.0000 0.5000 0.6943
6 Ho 0.5000 0.0000 0.1943
7 Ho 0.5000 0.0000 0.8057
8 Ho 0.5000 0.5000 0.0000
9 Si 0.0000 0.3141 0.1319
10 Si 0.0000 0.3141 0.8681
11 Si 0.0000 0.6859 0.1319
12 Si 0.0000 0.6859 0.8681
13 Si 0.5000 0.1859 0.3681
14 Si 0.5000 0.1859 0.6319
15 Si 0.5000 0.8141 0.3681
16 Si 0.5000 0.8141 0.6319

=====

# Gd2Ni17
Theoretical X-ray powder pattern, Cu Kα (weighted mean of Kα1 and Kα2). Input: a GGA-PBE-relaxed structure.

The 6 most intense peaks (15° ≤ 2θ ≤ 90°), by intensity:
| Position (°2θ) | d [Å] | intensity | index |
| --- | --- | --- | --- |
| 43.94 | 2.061 | 100 | 3 0 2 |
| 43.54 | 2.079 | 64 | 2 2 0 |
| 37.47 | 2.400 | 41 | 3 0 0 |
| 42.04 | 2.149 | 40 | 2 0 3 |
| 30.95 | 2.889 | 35 | 1 1 2 |
| 45.12 | 2.009 | 32 | 0 0 4 |

Structure:
Cell: 8.3143 8.3143 8.0376 Å, 90.00 90.00 120.00°
Fractional coordinates of all 38 atoms:
1 Gd 0.0000 0.0000 0.2500
2 Gd 0.0000 0.0000 0.7500
3 Gd 0.3333 0.6667 0.2500
4 Gd 0.6667 0.3333 0.7500
5 Ni 0.0000 0.5000 0.0000
6 Ni 0.0000 0.5000 0.5000
7 Ni 0.0445 0.3726 0.7500
8 Ni 0.0445 0.6719 0.7500
9 Ni 0.1660 0.3321 0.0206
10 Ni 0.1660 0.3321 0.4794
11 Ni 0.1660 0.8340 0.0206
12 Ni 0.1660 0.8340 0.4794
13 Ni 0.3281 0.3726 0.7500
14 Ni 0.3281 0.9555 0.7500
15 Ni 0.3321 0.1660 0.5206
16 Ni 0.3321 0.1660 0.9794
17 Ni 0.3333 0.6667 0.6024
18 Ni 0.3333 0.6667 0.8976
19 Ni 0.3726 0.0445 0.2500
20 Ni 0.3726 0.3281 0.2500
21 Ni 0.5000 0.0000 0.0000
22 Ni 0.5000 0.0000 0.5000
23 Ni 0.5000 0.5000 0.0000
24 Ni 0.5000 0.5000 0.5000
25 Ni 0.6274 0.6719 0.7500
26 Ni 0.6274 0.9555 0.7500
27 Ni 0.6667 0.3333 0.1024
28 Ni 0.6667 0.3333 0.3976
29 Ni 0.6679 0.8340 0.0206
30 Ni 0.6679 0.8340 0.4794
31 Ni 0.6719 0.0445 0.2500
32 Ni 0.6719 0.6274 0.2500
33 Ni 0.8340 0.1660 0.5206
34 Ni 0.8340 0.1660 0.9794
35 Ni 0.8340 0.6679 0.5206
36 Ni 0.8340 0.6679 0.9794
37 Ni 0.9555 0.3281 0.2500
38 Ni 0.9555 0.6274 0.2500

=====

# Sr6Tl3Zn
Theoretical X-ray powder pattern, Cu Kα (weighted mean of Kα1 and Kα2). Input: a GGA-PBE-relaxed structure.

The 6 most intense peaks (15° ≤ 2θ ≤ 90°), by intensity:
| Position (°2θ) | d [Å] | intensity | index |
| --- | --- | --- | --- |
| 30.69 | 2.913 | 100 | 0 2 0 |
| 30.81 | 2.902 | 45 | 3 1 -1 |
| 32.37 | 2.766 | 23 | 2 1 -4 |
| 28.39 | 3.143 | 21 | 2 0 -4 |
| 54.57 | 1.682 | 17 | 1 3 3 |
| 42.32 | 2.136 | 14 | 2 2 -4 |

Structure:
Cell: 10.0956 5.8222 13.2040 Å, 90.00 110.61 90.00°
Fractional coordinates of all 20 atoms:
1 Sr 0.0169 0.2500 0.4098
2 Sr 0.1664 0.7500 0.1678
3 Sr 0.2577 0.2500 0.0007
4 Sr 0.3455 0.7500 0.8315
5 Sr 0.3749 0.2500 0.3582
6 Sr 0.3789 0.2500 0.6435
7 Sr 0.6211 0.7500 0.3565
8 Sr 0.6251 0.7500 0.6418
9 Sr 0.6545 0.2500 0.1685
10 Sr 0.7423 0.7500 0.9993
11 Sr 0.8336 0.2500 0.8322
12 Sr 0.9831 0.7500 0.5902
13 Tl 0.0277 0.7500 0.8760
14 Tl 0.0942 0.2500 0.7224
15 Tl 0.2666 0.7500 0.4737
16 Tl 0.7334 0.2500 0.5263
17 Tl 0.9058 0.7500 0.2776
18 Tl 0.9723 0.2500 0.1240
19 Zn 0.4546 0.7500 0.0960
20 Zn 0.5454 0.2500 0.9040